No. 1
Starting from a structure optimized by DFT (PBE), the powder X-ray diffraction pattern of LaBrO2 was computed for CuKα.
No peak broadening, texture or thermal motion is included.

Most intense lines, 2θ from 5° to 70°, low angle first:
| d_spacing | Rel. int. | (hkl) |
| --- | --- | --- |
| 3.349 | 100 | 1 1 0 |
| 3.211 | 63 | 1 0 -2 |
| 2.656 | 65 | 0 1 2 |
| 2.519 | 27 | 2 0 0 |
| 2.456 | 23 | 1 0 2 |
| 2.242 | 32 | 0 2 0 |
| 2.197 | 24 | 2 1 0 |
| 2.083 | 33 | 2 1 -2 |
| 1.838 | 25 | 1 2 -2 |
| 1.605 | 17 | 1 1 -4 |

Crystal structure
a = 5.2567 Å, b = 4.4837 Å, c = 6.8814 Å
α = 90.00°, β = 106.60°, γ = 90.00°
Space group P2_1/m (No. 11)
One atom of each set of equivalent atoms:
La: 0.1927 0.2500 0.3455 (multiplicity 2)
Br: 0.2181 0.2500 0.9008 (multiplicity 2)
O: 0.2479 0.7500 0.5443 (multiplicity 2)
O: 0.3824 0.7500 0.3816 (multiplicity 2)


No. 2
Starting from a structure optimized by DFT (PBE), the powder X-ray diffraction pattern of La7Br3O18 was computed for CuKα.
No peak broadening, texture or thermal motion is included.

Most intense lines, 2θ from 5° to 70°, low angle first:
| d_spacing | Rel. int. | (hkl) |
| --- | --- | --- |
| 5.223 | 50 | 1 2 0 |
| 3.393 | 100 | 1 2 1 |
| 3.170 | 26 | 3 2 0 |
| 3.016 | 40 | 4 1 0 |
| 2.907 | 15 | 1 3 1 |
| 2.612 | 16 | 2 4 0 |
| 2.254 | 40 | 2 4 1 |
| 2.231 | 27 | 0 0 2 |
| 1.794 | 18 | 4 1 2 |
| 1.694 | 27 | 7 1 1 |

Crystal structure
a = 15.9572 Å, b = 15.9572 Å, c = 4.4620 Å
α = 90.00°, β = 90.00°, γ = 120.00°
Space group P6_3/m (No. 176)
One atom of each set of equivalent atoms:
La: 0.0824 0.8473 0.2500 (multiplicity 6)
La: 0.1238 0.6591 0.7500 (multiplicity 6)
La: 0.3333 0.6667 0.2500 (multiplicity 2)
Br: 0.0601 0.4387 0.7500 (multiplicity 6)
O: 0.0236 0.8793 0.7500 (multiplicity 6)
O: 0.0476 0.7576 0.7500 (multiplicity 6)
O: 0.0969 0.2723 0.7500 (multiplicity 6)
O: 0.1669 0.6413 0.2500 (multiplicity 6)
O: 0.1762 0.7386 0.2500 (multiplicity 6)
O: 0.2694 0.5735 0.7500 (multiplicity 6)